Theoretical powder XRD pattern
Compound: Gd2Ho2CF5
Radiation: Cu Kα (λ = 1.5418 Å)
Structure: the GGA-PBE geometry in OQMD

Largest 10 diffraction maxima, low angle first, 2θ = 10–90°:
2θ/deg	intensity	h k l
14.09	59	0 0 1
22.76	49	2 0 1
24.32	29	4 0 -1
28.73	34	1 1 -1
30.09	44	4 0 -2
32.38	91	3 1 0
35.93	28	2 0 2
37.09	100	1 1 -2
39.77	49	6 0 0
51.55	39	7 1 -2

Atomic structure:
```
data_Gd2Ho2CF5
_chemical_formula_sum 'Gd4 Ho4 C2 F10'
_symmetry_space_group_name_H-M 'C 1 2/m 1'
_symmetry_Int_Tables_number 12
_cell_length_a 14.8200
_cell_length_b 3.4888
_cell_length_c 6.8493
_cell_angle_alpha 90.00
_cell_angle_beta 113.40
_cell_angle_gamma 90.00
loop_
_symmetry_equiv_pos_as_xyz
'x,y,z'
'-x,-y,-z'
'-x,y,-z'
'x,-y,z'
'x+1/2,y+1/2,z'
'-x+1/2,-y+1/2,-z'
'-x+1/2,y+1/2,-z'
'x+1/2,-y+1/2,z'
loop_
_atom_site_label
_atom_site_fract_x
_atom_site_fract_y
_atom_site_fract_z
_atom_site_occupancy
Gd1 0.0056 0.0000 0.2455 1
Ho1 0.1696 0.5000 0.1374 1
C1 0.0000 0.5000 0.0000 1
F1 0.0000 0.5000 0.5000 1
F2 0.1749 0.0000 0.9050 1
F3 0.1860 0.0000 0.3598 1
```